Diffraction record for Rb2ScSi4O10F. The X-ray diffraction stick pattern is theoretical, not measured: it uses a cell relaxed with GGA-PBE and CuKα.

Structural model:
```
Rb2ScSi4O10F
1.0
-5.7051 5.7051 4.2225
5.7051 -5.7051 4.2225
5.7051 5.7051 -4.2225
Rb Sc Si O F
4 2 8 20 2
Cartesian
2.1728 2.1287 0.0000
3.5764 -3.5323 4.2225
2.1287 9.2374 0.0000
3.5323 3.5764 4.2225
0.0000 0.0000 2.1825
0.0000 0.0000 6.2625
5.8003 -2.1247 1.6022
3.5804 -0.0951 2.6203
7.8298 0.0951 2.6203
5.6100 2.1247 1.6022
0.0951 3.5804 2.6203
-2.1247 5.6100 1.6022
2.1247 5.8003 1.6022
-0.0951 7.8298 2.6203
5.6997 3.6121 -2.1683
4.3799 -1.3164 1.8413
7.0215 -1.3252 2.3812
5.2526 2.0338 0.0000
2.0930 -0.0054 2.0542
3.6121 5.7105 -2.1683
7.0304 1.3164 1.8413
4.3888 1.3252 2.3812
0.0054 2.0930 2.0542
3.6713 -0.4525 4.2225
2.0338 6.1577 0.0000
5.6997 3.6121 2.1683
1.3164 4.3799 1.8413
-1.3252 4.3888 2.3812
2.0930 -0.0054 6.3908
3.6121 5.7105 2.1683
0.4525 3.6713 4.2225
-1.3164 7.0304 1.8413
1.3252 7.0215 2.3812
0.0054 2.0930 6.3908
0.0000 0.0000 0.0000
0.0000 0.0000 4.2225
```

Top 10 peaks for 2θ = 10–80°, by angle:
3.468 Å, intensity 100
3.394 Å, intensity 54
2.963 Å, intensity 23
2.917 Å, intensity 26
2.743 Å, intensity 22
2.689 Å, intensity 30
2.111 Å, intensity 16
2.103 Å, intensity 16
1.902 Å, intensity 17
1.774 Å, intensity 20


Diffraction record for Rb5SeO4F2. The X-ray diffraction stick pattern is theoretical, not measured: it uses a cell relaxed with GGA-PBE and CuKα.

Structural model:
```
Rb5SeO4F2
1.0
8.0774 0.0000 0.0000
0.0000 5.2548 3.3504
0.0000 -5.2548 3.3504
Rb Se O F
5 1 4 2
Cartesian
0.0000 0.0000 0.0000
2.1130 -1.9479 3.3320
2.1130 1.9479 3.3320
5.9644 -1.9479 3.3320
5.9644 1.9479 3.3320
4.0387 0.0000 0.0694
2.5481 0.0000 1.1278
4.0387 -1.4294 5.6720
4.0387 1.4294 5.6720
5.5293 0.0000 1.1278
0.0000 -2.2438 5.0899
0.0000 2.2438 5.0899
```

Top 10 peaks for 2θ = 10–80°, by angle:
3.350 Å, intensity 48
3.286 Å, intensity 88
3.202 Å, intensity 50
3.104 Å, intensity 100
2.315 Å, intensity 71
2.019 Å, intensity 18
1.883 Å, intensity 23
1.796 Å, intensity 34
1.693 Å, intensity 28
1.431 Å, intensity 19


Diffraction record for Rb2TeOF5. The X-ray diffraction stick pattern is theoretical, not measured: it uses a cell relaxed with GGA-PBE and CuKα.

Structural model:
```
Rb2TeOF5
1.0
-3.0994 3.0994 4.8049
3.0994 -3.0994 4.8049
3.0994 3.0994 -4.8049
Rb Te O F
2 1 1 5
Cartesian
3.0994 0.0000 0.0000
0.0000 3.0994 0.0000
0.0000 0.0000 2.3752
0.0000 0.0000 0.5262
1.6648 1.6648 -2.2469
1.4345 -1.4345 2.5579
0.0000 0.0000 4.5367
-1.4345 1.4345 2.5579
1.4345 1.4345 2.5579
```

Top 10 peaks for 2θ = 10–80°, by angle:
5.209 Å, intensity 94
3.238 Å, intensity 100
3.099 Å, intensity 41
2.664 Å, intensity 26
2.605 Å, intensity 20
2.402 Å, intensity 23
2.192 Å, intensity 39
1.899 Å, intensity 19
1.815 Å, intensity 37
1.619 Å, intensity 25


Diffraction record for RbTeOF4. The X-ray diffraction stick pattern is theoretical, not measured: it uses a cell relaxed with GGA-PBE and CuKα.

Structural model:
```
RbTeOF4
1.0
8.1254 -2.4547 0.0000
8.1254 2.4547 0.0000
-0.3341 0.0000 13.9165
Rb Te O F
4 4 4 16
Cartesian
7.9584 2.3301 6.9582
11.1598 0.1529 10.4823
11.3268 -0.1529 3.5241
8.1254 -2.3301 0.0000
3.9517 0.0361 13.7526
4.1187 -0.0361 6.7944
7.0400 0.0726 3.2967
6.8729 -0.0726 10.2549
8.6299 1.1545 3.0623
10.5276 1.4205 13.2831
8.4629 -1.1545 10.0205
10.6946 -1.4205 6.3249
6.2565 1.9043 3.5828
3.5859 0.2135 8.7400
4.2431 0.1778 11.7114
3.7530 -0.2135 1.7817
8.4523 1.1341 9.7404
4.4102 -0.1778 4.7532
6.7799 0.3270 1.2587
10.6347 1.1812 6.5468
7.3867 0.0516 12.2142
7.5538 -0.0516 5.2560
6.6129 -0.3270 8.2170
12.9106 0.6556 13.7589
8.6193 -1.1341 2.7822
6.0894 -1.9043 10.5411
10.4676 -1.1812 13.5051
13.0777 -0.6556 6.8007
```

Top 10 peaks for 2θ = 10–80°, by angle:
4.700 Å, intensity 37
4.062 Å, intensity 60
3.907 Å, intensity 73
3.882 Å, intensity 66
3.477 Å, intensity 100
3.245 Å, intensity 48
3.202 Å, intensity 44
2.709 Å, intensity 34
2.099 Å, intensity 46
2.005 Å, intensity 35


Diffraction record for Rb5TeO4F2. The X-ray diffraction stick pattern is theoretical, not measured: it uses a cell relaxed with GGA-PBE and CuKα.

Structural model:
```
Rb5TeO4F2
1.0
8.0469 0.0000 0.0000
0.0000 5.5128 3.3704
0.0000 -5.5128 3.3704
Rb Te O F
5 1 4 2
Cartesian
0.0000 0.0000 0.0000
2.0759 -2.0283 3.3788
2.0759 2.0283 3.3788
5.9710 -2.0283 3.3788
5.9710 2.0283 3.3788
4.0235 0.0000 0.1178
2.4786 0.0000 1.2943
4.0235 -1.5879 5.7222
4.0235 1.5879 5.7222
5.5683 0.0000 1.2943
0.0000 -2.2699 5.1950
0.0000 2.2699 5.1950
```

Top 10 peaks for 2θ = 10–80°, by angle:
3.370 Å, intensity 44
3.297 Å, intensity 92
3.250 Å, intensity 49
3.227 Å, intensity 100
2.339 Å, intensity 68
1.931 Å, intensity 19
1.917 Å, intensity 22
1.859 Å, intensity 35
1.707 Å, intensity 28
1.465 Å, intensity 19


Diffraction record for RbTiZnOF5. The X-ray diffraction stick pattern is theoretical, not measured: it uses a cell relaxed with GGA-PBE and CuKα.

Structural model:
```
RbTiZnOF5
1.0
-3.6469 3.6633 5.3128
3.6469 -3.6633 5.3128
3.6469 3.6633 -5.3128
Rb Ti Zn O F
2 2 2 2 10
Cartesian
0.0000 1.8316 1.2613
3.6469 1.8316 4.0515
1.8235 1.8316 -2.6564
1.8235 -1.8316 2.6564
3.6469 0.0000 0.0000
0.0000 0.0000 5.3128
3.6469 -1.8316 3.0079
0.0000 5.4949 2.3049
2.0570 -0.4369 1.3013
5.2368 -0.4369 1.3013
2.0570 3.2264 -1.3013
1.5899 -0.4369 4.0115
3.6469 1.8316 0.8046
0.0000 1.8316 4.5082
2.0570 4.1002 1.3013
1.5899 0.4369 6.6142
-1.5899 4.1002 4.0115
1.5899 4.1002 4.0115
```

Top 10 peaks for 2θ = 10–80°, by angle:
6.018 Å, intensity 13
3.705 Å, intensity 24
3.187 Å, intensity 56
3.125 Å, intensity 100
3.011 Å, intensity 42
2.011 Å, intensity 17
2.004 Å, intensity 12
1.991 Å, intensity 11
1.852 Å, intensity 43
1.823 Å, intensity 14


Diffraction record for Rb3U2O5F2. The X-ray diffraction stick pattern is theoretical, not measured: it uses a cell relaxed with GGA-PBE and CuKα.

Structural model:
```
Rb3U2O5F2
1.0
-2.1835 2.1835 11.8521
2.1835 -2.1835 11.8521
2.1835 2.1835 -11.8521
Rb U O F
3 2 5 2
Cartesian
0.0000 0.0000 0.0000
0.0000 0.0000 4.4376
0.0000 0.0000 19.2666
0.0000 0.0000 9.6702
0.0000 0.0000 14.0340
2.1835 0.0000 2.3009
2.1835 0.0000 9.5512
0.0000 0.0000 11.8521
0.0000 2.1835 2.3009
0.0000 2.1835 9.5512
0.0000 0.0000 7.3014
0.0000 0.0000 16.4029
```

Top 10 peaks for 2θ = 10–80°, by angle:
5.926 Å, intensity 17
4.295 Å, intensity 33
3.212 Å, intensity 100
3.088 Å, intensity 57
2.676 Å, intensity 15
2.370 Å, intensity 14
2.184 Å, intensity 30
1.880 Å, intensity 20
1.806 Å, intensity 40
1.606 Å, intensity 17